1.
# Ho2TiCuO6
Calculated powder diffractogram, Cu Kα (weighted mean of Kα1 and Kα2). Input: a GGA-PBE-relaxed structure.
Intensities are scaled so that the largest is 100.

Atomic structure:
```
data_Ho2TiCuO6
_chemical_formula_sum 'Ho2 Ti1 Cu1 O6'
_space_group_name_H-M_alt 'P -6 m 2'
_space_group_IT_number 187
_space_group_name_Hall 'P -6 2'
_cell_length_a 3.5954
_cell_length_b 3.5954
_cell_length_c 11.3631
_cell_angle_alpha 90.00
_cell_angle_beta 90.00
_cell_angle_gamma 120.00
loop_
_atom_site_label
_atom_site_fract_x
_atom_site_fract_y
_atom_site_fract_z
Ho1 0.0000 0.0000 0.2275
Ti1 0.6667 0.3333 0.5000
Cu1 0.3333 0.6667 0.0000
O1 0.0000 0.0000 0.0000
O2 0.0000 0.0000 0.5000
O3 0.3333 0.6667 0.1685
O4 0.6667 0.3333 0.3359
```

Peak list (10 most intense, 5° ≤ 2θ ≤ 70°, by intensity)
- hkl 1 0 2, 32.80°, I 100
- hkl 1 0 0, 28.67°, I 49
- hkl 1 1 0, 50.79°, I 39
- hkl 0 0 2, 15.60°, I 36
- hkl 1 0 4, 43.10°, I 32
- hkl 0 0 4, 31.49°, I 28
- hkl 1 1 4, 60.99°, I 24
- hkl 1 0 1, 29.75°, I 24
- hkl 2 0 2, 61.78°, I 17
- hkl 0 0 1, 7.78°, I 17

***

2.
# Ho4Cu5P7
Calculated powder diffractogram, Cu Kα (weighted mean of Kα1 and Kα2). Input: a GGA-PBE-relaxed structure.
Intensities are scaled so that the largest is 100.

Atomic structure:
```
data_Ho4Cu5P7
_chemical_formula_sum 'Ho8 Cu10 P14'
_space_group_name_H-M_alt 'I -4 2 m'
_space_group_IT_number 121
_space_group_name_Hall 'I -4 2'
_cell_length_a 5.2720
_cell_length_b 5.2720
_cell_length_c 19.1307
_cell_angle_alpha 90.00
_cell_angle_beta 90.00
_cell_angle_gamma 90.00
loop_
_atom_site_label
_atom_site_fract_x
_atom_site_fract_y
_atom_site_fract_z
Ho1 0.2402 0.2402 0.1156
Cu1 0.0000 0.0000 0.2497
Cu2 0.0000 0.0000 0.5000
Cu3 0.0000 0.5000 0.2500
P1 0.0000 0.0000 0.0000
P2 0.0000 0.5000 0.0000
P3 0.2456 0.2456 0.3294
```

Peak list (10 most intense, 5° ≤ 2θ ≤ 70°, by intensity)
- hkl 2 0 4, 39.02°, I 100
- hkl 1 1 2, 25.65°, I 70
- hkl 1 1 6, 37.10°, I 36
- hkl 2 2 0, 48.86°, I 30
- hkl 0 0 8, 37.61°, I 20
- hkl 3 1 2, 55.99°, I 16
- hkl 2 2 8, 63.26°, I 16
- hkl 3 1 6, 62.91°, I 15
- hkl 1 1 10, 53.86°, I 13
- hkl 1 1 4, 30.40°, I 11

***

3.
# Ho5CuPb3
Calculated powder diffractogram, Cu Kα (weighted mean of Kα1 and Kα2). Input: a GGA-PBE-relaxed structure.
Intensities are scaled so that the largest is 100.

Atomic structure:
```
data_Ho5CuPb3
_chemical_formula_sum 'Ho10 Cu2 Pb6'
_space_group_name_H-M_alt 'P 63/m c m'
_space_group_IT_number 193
_space_group_name_Hall '-P 6c 2'
_cell_length_a 9.1260
_cell_length_b 9.1260
_cell_length_c 6.7311
_cell_angle_alpha 90.00
_cell_angle_beta 90.00
_cell_angle_gamma 120.00
loop_
_atom_site_label
_atom_site_fract_x
_atom_site_fract_y
_atom_site_fract_z
Ho1 0.0000 0.2509 0.2500
Ho2 0.3333 0.6667 0.0000
Cu1 0.0000 0.0000 0.0000
Pb1 0.0000 0.3950 0.7500
```

Peak list (10 most intense, 5° ≤ 2θ ≤ 70°, by intensity)
- hkl 2 1 1, 32.80°, I 100
- hkl 1 1 2, 33.07°, I 99
- hkl 3 0 0, 34.03°, I 58
- hkl 2 1 3, 50.90°, I 30
- hkl 3 1 1, 43.42°, I 24
- hkl 0 0 2, 26.48°, I 21
- hkl 2 2 2, 48.19°, I 20
- hkl 3 0 4, 65.85°, I 20
- hkl 5 0 2, 65.21°, I 15
- hkl 2 1 0, 29.91°, I 15

***

4.
# HoCuPbS3
Calculated powder diffractogram, Cu Kα (weighted mean of Kα1 and Kα2). Input: a GGA-PBE-relaxed structure.
Intensities are scaled so that the largest is 100.

Atomic structure:
```
data_HoCuPbS3
_chemical_formula_sum 'Ho4 Cu4 Pb4 S12'
_space_group_name_H-M_alt 'C m c 21'
_space_group_IT_number 36
_cell_length_a 3.9500
_cell_length_b 13.1203
_cell_length_c 10.2284
_cell_angle_alpha 90.00
_cell_angle_beta 90.00
_cell_angle_gamma 90.00
loop_
_space_group_symop_operation_xyz
'x,y,z'
'-x,-y,z+1/2'
'-x,y,z'
'x,-y,z+1/2'
'x+1/2,y+1/2,z'
'-x+1/2,-y+1/2,z+1/2'
'-x+1/2,y+1/2,z'
'x+1/2,-y+1/2,z+1/2'
loop_
_atom_site_label
_atom_site_fract_x
_atom_site_fract_y
_atom_site_fract_z
Ho1 0.0000 0.0029 0.0000
Cu1 0.0000 0.4662 0.7491
Pb1 0.0000 0.2517 0.2721
S1 0.0000 0.0733 0.7483
S2 0.0000 0.3626 0.5637
S3 0.0000 0.3632 0.9339
```

Peak list (10 most intense, 5° ≤ 2θ ≤ 70°, by intensity)
- hkl 0 2 2, 22.04°, I 100
- hkl 1 3 1, 31.75°, I 95
- hkl 0 6 2, 45.10°, I 57
- hkl 1 3 2, 35.29°, I 49
- hkl 0 4 0, 27.19°, I 46
- hkl 1 1 1, 25.10°, I 46
- hkl 0 0 4, 35.09°, I 42
- hkl 1 1 3, 35.45°, I 41
- hkl 1 1 2, 29.37°, I 40
- hkl 0 4 4, 44.95°, I 33

***

5.
# HoCu4Pd
Calculated powder diffractogram, Cu Kα (weighted mean of Kα1 and Kα2). Input: a GGA-PBE-relaxed structure.
Intensities are scaled so that the largest is 100.

Atomic structure:
```
data_HoCu4Pd
_chemical_formula_sum 'Ho4 Cu16 Pd4'
_space_group_name_H-M_alt 'F -4 3 m'
_space_group_IT_number 216
_space_group_name_Hall 'F -4 2 3'
_cell_length_a 7.0406
_cell_length_b 7.0406
_cell_length_c 7.0406
_cell_angle_alpha 90.00
_cell_angle_beta 90.00
_cell_angle_gamma 90.00
loop_
_atom_site_label
_atom_site_fract_x
_atom_site_fract_y
_atom_site_fract_z
Ho1 0.0000 0.0000 0.0000
Cu1 0.1242 0.1242 0.6242
Pd1 0.2500 0.2500 0.2500
```

Peak list (9 most intense, 5° ≤ 2θ ≤ 70°, by intensity)
- hkl 3 1 1, 42.59°, I 100
- hkl 2 2 0, 36.08°, I 53
- hkl 5 1 1, 69.36°, I 30
- hkl 2 2 2, 44.58°, I 21
- hkl 4 2 2, 64.88°, I 19
- hkl 1 1 1, 21.87°, I 7
- hkl 2 0 0, 25.30°, I 3
- hkl 3 3 1, 57.02°, I 2
- hkl 4 2 0, 58.64°, I 1

***

6.
# Ho2CuPd
Calculated powder diffractogram, Cu Kα (weighted mean of Kα1 and Kα2). Input: a GGA-PBE-relaxed structure.
Intensities are scaled so that the largest is 100.

Atomic structure:
```
data_Ho2CuPd
_chemical_formula_sum 'Ho8 Cu4 Pd4'
_space_group_name_H-M_alt 'F m -3 m'
_space_group_IT_number 225
_space_group_name_Hall '-F 4 2 3'
_cell_length_a 6.9316
_cell_length_b 6.9316
_cell_length_c 6.9316
_cell_angle_alpha 90.00
_cell_angle_beta 90.00
_cell_angle_gamma 90.00
loop_
_atom_site_label
_atom_site_fract_x
_atom_site_fract_y
_atom_site_fract_z
Ho1 0.2500 0.2500 0.2500
Cu1 0.0000 0.0000 0.0000
Pd1 0.0000 0.0000 0.5000
```

Peak list (8 most intense, 5° ≤ 2θ ≤ 70°, by intensity)
- hkl 2 2 0, 36.67°, I 100
- hkl 4 2 2, 66.03°, I 35
- hkl 4 0 0, 52.83°, I 17
- hkl 2 0 0, 25.70°, I 11
- hkl 4 2 0, 59.65°, I 5
- hkl 2 2 2, 45.32°, I 3
- hkl 1 1 1, 22.21°, I 2
- hkl 3 1 1, 43.29°, I 1

***

7.
# PmHoCu2
Calculated powder diffractogram, Cu Kα (weighted mean of Kα1 and Kα2). Input: a GGA-PBE-relaxed structure.
Intensities are scaled so that the largest is 100.

Atomic structure:
```
data_PmHoCu2
_chemical_formula_sum 'Pm4 Ho4 Cu8'
_space_group_name_H-M_alt 'F m -3 m'
_space_group_IT_number 225
_space_group_name_Hall '-F 4 2 3'
_cell_length_a 7.0124
_cell_length_b 7.0124
_cell_length_c 7.0124
_cell_angle_alpha 90.00
_cell_angle_beta 90.00
_cell_angle_gamma 90.00
loop_
_atom_site_label
_atom_site_fract_x
_atom_site_fract_y
_atom_site_fract_z
Pm1 0.0000 0.0000 0.0000
Ho1 0.0000 0.0000 0.5000
Cu1 0.2500 0.2500 0.2500
```

Peak list (6 most intense, 5° ≤ 2θ ≤ 70°, by intensity)
- hkl 2 2 0, 36.23°, I 100
- hkl 4 2 2, 65.17°, I 35
- hkl 2 0 0, 25.40°, I 18
- hkl 4 0 0, 52.18°, I 17
- hkl 4 2 0, 58.90°, I 8
- hkl 2 2 2, 44.77°, I 5

***

8.
# Ho2CuPt
Calculated powder diffractogram, Cu Kα (weighted mean of Kα1 and Kα2). Input: a GGA-PBE-relaxed structure.
Intensities are scaled so that the largest is 100.

Atomic structure:
```
data_Ho2CuPt
_chemical_formula_sum 'Ho8 Cu4 Pt4'
_space_group_name_H-M_alt 'F m -3 m'
_space_group_IT_number 225
_space_group_name_Hall '-F 4 2 3'
_cell_length_a 6.9386
_cell_length_b 6.9386
_cell_length_c 6.9386
_cell_angle_alpha 90.00
_cell_angle_beta 90.00
_cell_angle_gamma 90.00
loop_
_atom_site_label
_atom_site_fract_x
_atom_site_fract_y
_atom_site_fract_z
Ho1 0.2500 0.2500 0.2500
Cu1 0.0000 0.0000 0.0000
Pt1 0.0000 0.0000 0.5000
```

Peak list (8 most intense, 5° ≤ 2θ ≤ 70°, by intensity)
- hkl 2 2 0, 36.63°, I 100
- hkl 4 2 2, 65.95°, I 36
- hkl 4 0 0, 52.77°, I 18
- hkl 1 1 1, 22.19°, I 10
- hkl 3 1 1, 43.25°, I 6
- hkl 3 3 1, 57.93°, I 2
- hkl 2 0 0, 25.68°, I 2
- hkl 4 2 0, 59.59°, I 1